1.
Pr6Os2SCl3: computed X-ray powder pattern (Cu Ka), based on the PBE geometry in Alexandria.

Peak list (10 most intense, 5° ≤ 2θ ≤ 70°, low angle first)
2theta	I_rel
11.9	42
25.9	8
29.4	100
37.6	20
40.8	32
43.4	37
45.1	10
51.6	12
53.3	18
61.0	9

```
data_Pr6Os2SCl3
_chemical_formula_sum 'Pr6 Os2 S1 Cl3'
_space_group_name_H-M_alt 'P 1'
_space_group_IT_number 1
_cell_length_a 7.2302
_cell_length_b 7.2302
_cell_length_c 7.8353
_cell_angle_alpha 98.83
_cell_angle_beta 98.83
_cell_angle_gamma 120.00
loop_
_space_group_symop_operation_xyz
'x,y,z'
loop_
_atom_site_label
_atom_site_type_symbol
_atom_site_fract_x
_atom_site_fract_y
_atom_site_fract_z
Pr1 Pr 0.0836 0.4310 0.7918
Pr2 Pr 0.2211 0.2211 0.2073
Pr3 Pr 0.4310 0.0836 0.7918
Pr4 Pr 0.5690 0.9164 0.2082
Pr5 Pr 0.7789 0.7789 0.7927
Pr6 Pr 0.9164 0.5690 0.2082
Os1 Os 0.1669 0.8331 0.0000
Os2 Os 0.8331 0.1669 0.0000
S1 S 0.5000 0.5000 0.0000
Cl1 Cl 0.0000 0.0000 0.5000
Cl2 Cl 0.3351 0.6649 0.5000
Cl3 Cl 0.6649 0.3351 0.5000
```


2.
Rb3OsCl7: computed X-ray powder pattern (Cu Ka), based on the PBE geometry in Alexandria.

Peak list (10 most intense, 5° ≤ 2θ ≤ 70°, low angle first)
2theta	I_rel
12.5	76
17.8	58
21.9	100
25.2	60
25.5	32
28.3	28
32.6	59
36.2	45
38.3	30
48.4	35

```
data_Rb3OsCl7
_chemical_formula_sum 'Rb6 Os2 Cl14'
_space_group_name_H-M_alt 'P 1'
_space_group_IT_number 1
_cell_length_a 9.9817
_cell_length_b 9.9817
_cell_length_c 6.9808
_cell_angle_alpha 90.00
_cell_angle_beta 90.00
_cell_angle_gamma 90.00
loop_
_space_group_symop_operation_xyz
'x,y,z'
loop_
_atom_site_label
_atom_site_type_symbol
_atom_site_fract_x
_atom_site_fract_y
_atom_site_fract_z
Rb1 Rb 0.0000 0.0000 0.0000
Rb2 Rb 0.1775 0.3225 0.5000
Rb3 Rb 0.3225 0.8225 0.5000
Rb4 Rb 0.5000 0.5000 0.0000
Rb5 Rb 0.6775 0.1775 0.5000
Rb6 Rb 0.8225 0.6775 0.5000
Os1 Os 0.0000 0.5000 0.0000
Os2 Os 0.5000 0.0000 0.0000
Cl1 Cl 0.0000 0.0000 0.5000
Cl2 Cl 0.1164 0.6164 0.2398
Cl3 Cl 0.1164 0.6164 0.7602
Cl4 Cl 0.1668 0.3332 0.0000
Cl5 Cl 0.3332 0.8332 0.0000
Cl6 Cl 0.3836 0.1164 0.2398
Cl7 Cl 0.3836 0.1164 0.7602
Cl8 Cl 0.5000 0.5000 0.5000
Cl9 Cl 0.6164 0.8836 0.2398
Cl10 Cl 0.6164 0.8836 0.7602
Cl11 Cl 0.6668 0.1668 0.0000
Cl12 Cl 0.8332 0.6668 0.0000
Cl13 Cl 0.8836 0.3836 0.2398
Cl14 Cl 0.8836 0.3836 0.7602
```


3.
Rb2OsCl7: computed X-ray powder pattern (Cu Ka), based on the PBE geometry in Alexandria.

Peak list (10 most intense, 5° ≤ 2θ ≤ 70°, low angle first)
2theta	I_rel
13.5	83
13.8	71
14.2	36
18.6	100
21.0	44
23.7	27
24.5	35
30.0	50
31.4	29
31.9	39

```
data_Rb2OsCl7
_chemical_formula_sum 'Rb4 Os2 Cl14'
_space_group_name_H-M_alt 'P 1'
_space_group_IT_number 1
_cell_length_a 9.2673
_cell_length_b 9.2673
_cell_length_c 12.5633
_cell_angle_alpha 125.17
_cell_angle_beta 125.17
_cell_angle_gamma 47.73
loop_
_space_group_symop_operation_xyz
'x,y,z'
loop_
_atom_site_label
_atom_site_type_symbol
_atom_site_fract_x
_atom_site_fract_y
_atom_site_fract_z
Rb1 Rb 0.0552 0.6845 0.9550
Rb2 Rb 0.3155 0.9448 0.5450
Rb3 Rb 0.6845 0.0552 0.4550
Rb4 Rb 0.9448 0.3155 0.0450
Os1 Os 0.2749 0.7251 0.7500
Os2 Os 0.7251 0.2749 0.2500
Cl1 Cl 0.0792 0.0985 0.2583
Cl2 Cl 0.0985 0.0792 0.7583
Cl3 Cl 0.1994 0.6424 0.5142
Cl4 Cl 0.2096 0.4674 0.6855
Cl5 Cl 0.3576 0.8006 0.9858
Cl6 Cl 0.4038 0.5962 0.2500
Cl7 Cl 0.4674 0.2096 0.1855
Cl8 Cl 0.5326 0.7904 0.8145
Cl9 Cl 0.5962 0.4038 0.7500
Cl10 Cl 0.6424 0.1994 0.0142
Cl11 Cl 0.7904 0.5326 0.3145
Cl12 Cl 0.8006 0.3576 0.4858
Cl13 Cl 0.9015 0.9208 0.2417
Cl14 Cl 0.9208 0.9015 0.7417
```


4.
RbOs2Cl11: computed X-ray powder pattern (Cu Ka), based on the PBE geometry in Alexandria.

Peak list (10 most intense, 5° ≤ 2θ ≤ 70°, low angle first)
2theta	I_rel
13.2	72
13.5	86
16.5	29
17.0	100
17.1	32
18.9	51
21.4	40
25.7	59
34.8	70
44.6	31

```
data_RbOs2Cl11
_chemical_formula_sum 'Rb2 Os4 Cl22'
_space_group_name_H-M_alt 'P 1'
_space_group_IT_number 1
_cell_length_a 10.8070
_cell_length_b 10.8070
_cell_length_c 10.8070
_cell_angle_alpha 105.01
_cell_angle_beta 120.41
_cell_angle_gamma 103.58
loop_
_space_group_symop_operation_xyz
'x,y,z'
loop_
_atom_site_label
_atom_site_type_symbol
_atom_site_fract_x
_atom_site_fract_y
_atom_site_fract_z
Rb1 Rb 0.0000 0.0000 0.0000
Rb2 Rb 0.0000 0.5000 0.5000
Os1 Os 0.1358 0.0649 0.5709
Os2 Os 0.2160 0.6847 0.0313
Os3 Os 0.4940 0.5649 0.4291
Os4 Os 0.6534 0.1847 0.9687
Cl1 Cl 0.0244 0.4610 0.8153
Cl2 Cl 0.0244 0.7092 0.0634
Cl3 Cl 0.0271 0.0668 0.7095
Cl4 Cl 0.0271 0.8176 0.4603
Cl5 Cl 0.1487 0.7889 0.8597
Cl6 Cl 0.2558 0.5590 0.1968
Cl7 Cl 0.2579 0.0619 0.4493
Cl8 Cl 0.2579 0.3086 0.6961
Cl9 Cl 0.3573 0.3176 0.2905
Cl10 Cl 0.3573 0.5668 0.5397
Cl11 Cl 0.3621 0.0590 0.8032
Cl12 Cl 0.4038 0.6542 0.0037
Cl13 Cl 0.4038 0.9002 0.2497
Cl14 Cl 0.6126 0.5619 0.3039
Cl15 Cl 0.6126 0.8086 0.5507
Cl16 Cl 0.6457 0.2092 0.1847
Cl17 Cl 0.6457 0.9610 0.9366
Cl18 Cl 0.6505 0.1542 0.7503
Cl19 Cl 0.6505 0.4002 0.9963
Cl20 Cl 0.6948 0.5554 0.6395
Cl21 Cl 0.9159 0.0554 0.3605
Cl22 Cl 0.9292 0.2889 0.1403
```


5.
Rb2TlOsCl8: computed X-ray powder pattern (Cu Ka), based on the PBE geometry in Alexandria.

Peak list (10 most intense, 5° ≤ 2θ ≤ 70°, low angle first)
2theta	I_rel
12.5	46
13.4	36
18.0	100
18.6	69
22.8	55
23.3	45
23.4	45
25.1	27
34.8	28
42.8	27

```
data_Rb2TlOsCl8
_chemical_formula_sum 'Rb2 Tl1 Os1 Cl8'
_space_group_name_H-M_alt 'P 1'
_space_group_IT_number 1
_cell_length_a 6.6348
_cell_length_b 7.0951
_cell_length_c 9.3208
_cell_angle_alpha 89.79
_cell_angle_beta 89.69
_cell_angle_gamma 88.35
loop_
_space_group_symop_operation_xyz
'x,y,z'
loop_
_atom_site_label
_atom_site_type_symbol
_atom_site_fract_x
_atom_site_fract_y
_atom_site_fract_z
Rb1 Rb 0.0075 0.4989 0.2386
Rb2 Rb 0.9925 0.5011 0.7614
Tl1 Tl 0.5000 0.0000 0.5000
Os1 Os 0.5000 0.0000 0.0000
Cl1 Cl 0.2224 0.3117 0.5030
Cl2 Cl 0.2811 0.9019 0.1809
Cl3 Cl 0.2850 0.8933 0.8221
Cl4 Cl 0.3355 0.2944 0.9948
Cl5 Cl 0.6645 0.7056 0.0052
Cl6 Cl 0.7150 0.1067 0.1779
Cl7 Cl 0.7189 0.0981 0.8191
Cl8 Cl 0.7776 0.6883 0.4970
```


6.
OsS6Cl8: computed X-ray powder pattern (Cu Ka), based on the PBE geometry in Alexandria.

Peak list (10 most intense, 5° ≤ 2θ ≤ 70°, low angle first)
2theta	I_rel
9.5	73
13.0	100
13.8	44
18.6	84
19.1	47
19.3	34
19.9	40
25.6	66
27.8	28
33.2	35

```
data_OsS6Cl8
_chemical_formula_sum 'Os1 S6 Cl8'
_space_group_name_H-M_alt 'P 1'
_space_group_IT_number 1
_cell_length_a 7.2272
_cell_length_b 7.2345
_cell_length_c 9.9202
_cell_angle_alpha 103.19
_cell_angle_beta 103.21
_cell_angle_gamma 100.13
loop_
_space_group_symop_operation_xyz
'x,y,z'
loop_
_atom_site_label
_atom_site_type_symbol
_atom_site_fract_x
_atom_site_fract_y
_atom_site_fract_z
Os1 Os 0.0000 0.0000 0.0000
S1 S 0.0457 0.5740 0.4417
S2 S 0.3897 0.5242 0.0281
S3 S 0.4360 0.9656 0.5783
S4 S 0.5640 0.0344 0.4217
S5 S 0.6103 0.4758 0.9719
S6 S 0.9543 0.4260 0.5583
Cl1 Cl 0.0460 0.7991 0.1516
Cl2 Cl 0.2270 0.8873 0.8927
Cl3 Cl 0.2498 0.2522 0.1682
Cl4 Cl 0.2643 0.1571 0.5766
Cl5 Cl 0.7357 0.8429 0.4234
Cl6 Cl 0.7502 0.7478 0.8318
Cl7 Cl 0.7730 0.1127 0.1073
Cl8 Cl 0.9540 0.2009 0.8484
```


7.
OsS3Cl6: computed X-ray powder pattern (Cu Ka), based on the PBE geometry in Alexandria.

Peak list (10 most intense, 5° ≤ 2θ ≤ 70°, low angle first)
2theta	I_rel
13.5	100
15.5	42
20.6	49
24.7	25
31.1	16
31.4	21
34.3	17
39.5	18
42.0	11
44.3	18

```
data_OsS3Cl6
_chemical_formula_sum 'Os2 S6 Cl12'
_space_group_name_H-M_alt 'P 1'
_space_group_IT_number 1
_cell_length_a 8.7668
_cell_length_b 8.7668
_cell_length_c 8.7668
_cell_angle_alpha 97.04
_cell_angle_beta 97.04
_cell_angle_gamma 97.04
loop_
_space_group_symop_operation_xyz
'x,y,z'
loop_
_atom_site_label
_atom_site_type_symbol
_atom_site_fract_x
_atom_site_fract_y
_atom_site_fract_z
Os1 Os 0.0000 0.0000 0.0000
Os2 Os 0.5000 0.5000 0.5000
S1 S 0.0736 0.0736 0.4721
S2 S 0.0736 0.4721 0.0736
S3 S 0.4721 0.0736 0.0736
S4 S 0.5279 0.9264 0.9264
S5 S 0.9264 0.5279 0.9264
S6 S 0.9264 0.9264 0.5279
Cl1 Cl 0.0604 0.8139 0.8139
Cl2 Cl 0.1861 0.1861 0.9396
Cl3 Cl 0.1861 0.9396 0.1861
Cl4 Cl 0.2314 0.4821 0.4821
Cl5 Cl 0.4821 0.2314 0.4821
Cl6 Cl 0.4821 0.4821 0.2314
Cl7 Cl 0.5179 0.5179 0.7686
Cl8 Cl 0.5179 0.7686 0.5179
Cl9 Cl 0.7686 0.5179 0.5179
Cl10 Cl 0.8139 0.0604 0.8139
Cl11 Cl 0.8139 0.8139 0.0604
Cl12 Cl 0.9396 0.1862 0.1861
```


8.
OsS2Cl12: computed X-ray powder pattern (Cu Ka), based on the PBE geometry in Alexandria.

Peak list (10 most intense, 5° ≤ 2θ ≤ 70°, low angle first)
2theta	I_rel
11.2	100
16.1	94
18.8	30
24.8	35
25.5	17
27.7	37
35.5	29
39.9	16
40.5	18
49.6	16

```
data_OsS2Cl12
_chemical_formula_sum 'Os1 S2 Cl12'
_space_group_name_H-M_alt 'P 1'
_space_group_IT_number 1
_cell_length_a 7.9272
_cell_length_b 7.9272
_cell_length_c 7.9272
_cell_angle_alpha 88.07
_cell_angle_beta 88.07
_cell_angle_gamma 88.07
loop_
_space_group_symop_operation_xyz
'x,y,z'
loop_
_atom_site_label
_atom_site_type_symbol
_atom_site_fract_x
_atom_site_fract_y
_atom_site_fract_z
Os1 Os 0.0000 0.0000 0.0000
S1 S 0.2675 0.2675 0.2675
S2 S 0.7325 0.7325 0.7325
Cl1 Cl 0.1020 0.8038 0.8038
Cl2 Cl 0.1962 0.1962 0.8980
Cl3 Cl 0.1962 0.8980 0.1962
Cl4 Cl 0.2350 0.2350 0.5242
Cl5 Cl 0.2350 0.5242 0.2350
Cl6 Cl 0.4758 0.7650 0.7650
Cl7 Cl 0.5242 0.2350 0.2350
Cl8 Cl 0.7650 0.4758 0.7650
Cl9 Cl 0.7650 0.7650 0.4758
Cl10 Cl 0.8038 0.1020 0.8038
Cl11 Cl 0.8038 0.8038 0.1020
Cl12 Cl 0.8980 0.1962 0.1962
```